# 1
Diffraction record for NbOs. The powder X-ray diffraction pattern is computed, not measured: it uses a GGA-PBE-relaxed structure and Cu Kα, 1.54184 Å.

Structural model:
Unit cell a=2.8085 b=4.3484 c=5.4624 alpha=90.00 beta=103.61 gamma=90.00
Atoms (fractional coordinates):
Nb (0.0000, 0.0000, 0.0000)
Nb (0.5000, 0.0000, 0.5000)
Os (0.1787, 0.5000, 0.7600)
Os (0.8213, 0.5000, 0.2400)

Main lines, most intense first (2θ from 10° to 80°):
2θ = 39.79°, d = 2.266 Å, I 100.0
2θ = 39.28°, d = 2.294 Å, I 87.8
2θ = 41.53°, d = 2.174 Å, I 50.6
2θ = 40.56°, d = 2.224 Å, I 43.3
2θ = 59.45°, d = 1.555 Å, I 28.2
2θ = 20.42°, d = 4.348 Å, I 26.8

# 2
Diffraction record for NbOs. The powder X-ray diffraction pattern is computed, not measured: it uses a GGA-PBE-relaxed structure and Cu Kα, 1.54184 Å.

Structural model:
Unit cell a=5.0408 b=5.1959 c=10.3735 alpha=90.00 beta=90.00 gamma=90.00
Atoms (fractional coordinates):
Nb (0.1297, 0.1162, 0.3053)
Nb (0.1351, 0.5992, 0.5131)
Nb (0.3649, 0.4008, 0.0131)
Nb (0.3703, 0.8838, 0.8053)
Nb (0.6297, 0.3839, 0.6947)
Nb (0.6351, 0.9008, 0.4869)
Nb (0.8649, 0.0992, 0.9869)
Nb (0.8703, 0.6162, 0.1947)
Os (0.1356, 0.3917, 0.7675)
Os (0.1582, 0.1060, 0.5542)
Os (0.3418, 0.8940, 0.0542)
Os (0.3644, 0.6083, 0.2675)
Os (0.6356, 0.1083, 0.2325)
Os (0.6582, 0.3940, 0.4458)
Os (0.8418, 0.6060, 0.9458)
Os (0.8644, 0.8917, 0.7325)

Main lines, most intense first (2θ from 10° to 80°):
2θ = 43.57°, d = 2.077 Å, I 100.0
2θ = 40.00°, d = 2.254 Å, I 81.5
2θ = 42.88°, d = 2.109 Å, I 76.0
2θ = 39.05°, d = 2.306 Å, I 71.4
2θ = 36.69°, d = 2.449 Å, I 58.6
2θ = 47.98°, d = 1.896 Å, I 55.6

# 3
Diffraction record for NbOs. The powder X-ray diffraction pattern is computed, not measured: it uses a GGA-PBE-relaxed structure and Cu Kα, 1.54184 Å.

Structural model:
Unit cell a=5.0252 b=5.0252 c=2.8697 alpha=99.15 beta=99.15 gamma=109.51
Atoms (fractional coordinates):
Nb (0.2142, 0.7858, 0.0000)
Nb (0.7858, 0.2142, 0.0000)
Os (0.2932, 0.2932, 0.5753)
Os (0.7068, 0.7068, 0.4247)

Main lines, most intense first (2θ from 10° to 80°):
2θ = 39.08°, d = 2.305 Å, I 100.0
2θ = 39.36°, d = 2.289 Å, I 62.3
2θ = 71.20°, d = 1.324 Å, I 23.3
2θ = 21.65°, d = 4.104 Å, I 21.6
2θ = 44.13°, d = 2.052 Å, I 21.5
2θ = 41.81°, d = 2.160 Å, I 18.1

# 4
Diffraction record for NbPOsRuSeS. The powder X-ray diffraction pattern is computed, not measured: it uses a GGA-PBE-relaxed structure and Cu Kα, 1.54184 Å.

Structural model:
Unit cell a=5.7242 b=3.2465 c=5.9102 alpha=90.00 beta=110.69 gamma=90.00
Atoms (fractional coordinates):
Nb (0.0000, 0.0000, 0.0000)
P (0.3737, 0.5000, 0.0655)
Os (0.7993, 0.5000, 0.2726)
Ru (0.4810, 0.0000, 0.8550)
Se (0.1356, 0.0000, 0.4622)
S (0.7536, 0.5000, 0.6790)

Main lines, most intense first (2θ from 10° to 80°):
2θ = 18.55°, d = 4.783 Å, I 100.0
2θ = 42.36°, d = 2.134 Å, I 93.5
2θ = 43.83°, d = 2.066 Å, I 80.0
2θ = 41.69°, d = 2.166 Å, I 75.6
2θ = 32.25°, d = 2.776 Å, I 73.4
2θ = 31.97°, d = 2.800 Å, I 67.6

# 5
Diffraction record for PmNbSi2Os. The powder X-ray diffraction pattern is computed, not measured: it uses a GGA-PBE-relaxed structure and Cu Kα, 1.54184 Å.

Structural model:
Unit cell a=6.2258 b=6.2258 c=6.2258 alpha=141.86 beta=141.86 gamma=55.04
Atoms (fractional coordinates):
Pm (0.0000, 0.0000, 0.0000)
Nb (0.2500, 0.7500, 0.5000)
Si (0.3888, 0.3888, 0.0000)
Si (0.6112, 0.6112, 0.0000)
Os (0.7500, 0.2500, 0.5000)

Main lines, most intense first (2θ from 10° to 80°):
2θ = 35.18°, d = 2.551 Å, I 100.0
2θ = 44.55°, d = 2.034 Å, I 31.6
2θ = 23.30°, d = 3.817 Å, I 26.7
2θ = 32.81°, d = 2.729 Å, I 24.5
2θ = 32.43°, d = 2.761 Å, I 22.6
2θ = 75.95°, d = 1.253 Å, I 21.4

# 6
Diffraction record for PrNbSi2Os. The powder X-ray diffraction pattern is computed, not measured: it uses a GGA-PBE-relaxed structure and Cu Kα, 1.54184 Å.

Structural model:
Unit cell a=6.2604 b=6.2604 c=6.2604 alpha=141.83 beta=141.83 gamma=55.09
Atoms (fractional coordinates):
Pr (0.0000, 0.0000, 0.0000)
Nb (0.2500, 0.7500, 0.5000)
Si (0.3871, 0.3871, 0.0000)
Si (0.6129, 0.6129, 0.0000)
Os (0.7500, 0.2500, 0.5000)

Main lines, most intense first (2θ from 10° to 80°):
2θ = 34.95°, d = 2.567 Å, I 100.0
2θ = 44.24°, d = 2.047 Å, I 31.9
2θ = 23.15°, d = 3.841 Å, I 26.1
2θ = 32.62°, d = 2.745 Å, I 24.4
2θ = 32.25°, d = 2.775 Å, I 22.5
2θ = 75.38°, d = 1.261 Å, I 21.4

# 7
Diffraction record for Nb14OsRh. The powder X-ray diffraction pattern is computed, not measured: it uses a GGA-PBE-relaxed structure and Cu Kα, 1.54184 Å.

Structural model:
Unit cell a=5.7119 b=5.7119 c=9.2332 alpha=90.00 beta=90.00 gamma=109.79
Atoms (fractional coordinates):
Nb (0.0000, 0.0000, 0.0000)
Nb (0.0000, 0.5000, 0.0000)
Nb (0.0000, 0.5000, 0.5000)
Nb (0.2474, 0.2474, 0.2580)
Nb (0.2474, 0.2474, 0.7420)
Nb (0.2502, 0.7498, 0.2542)
Nb (0.2502, 0.7498, 0.7458)
Nb (0.5000, 0.0000, 0.0000)
Nb (0.5000, 0.0000, 0.5000)
Nb (0.5000, 0.5000, 0.0000)
Nb (0.7498, 0.2502, 0.2542)
Nb (0.7498, 0.2502, 0.7458)
Nb (0.7526, 0.7526, 0.2580)
Nb (0.7526, 0.7526, 0.7420)
Os (0.0000, 0.0000, 0.5000)
Rh (0.5000, 0.5000, 0.5000)

Main lines, most intense first (2θ from 10° to 80°):
2θ = 38.77°, d = 2.322 Å, I 100.0
2θ = 38.53°, d = 2.336 Å, I 25.5
2θ = 56.00°, d = 1.642 Å, I 25.1
2θ = 39.02°, d = 2.308 Å, I 24.3
2θ = 69.87°, d = 1.346 Å, I 17.0
2θ = 70.52°, d = 1.335 Å, I 16.1

# 8
Diffraction record for Nb3Os2Ru2. The powder X-ray diffraction pattern is computed, not measured: it uses a GGA-PBE-relaxed structure and Cu Kα, 1.54184 Å.

Structural model:
Unit cell a=4.3954 b=4.4029 c=7.6483 alpha=73.30 beta=89.85 gamma=60.07
Atoms (fractional coordinates):
Nb (0.0000, 0.0000, 0.0000)
Nb (0.2443, 0.5131, 0.7288)
Nb (0.7557, 0.4869, 0.2712)
Os (0.1210, 0.7562, 0.3684)
Os (0.8790, 0.2438, 0.6316)
Ru (0.3728, 0.2534, 0.1201)
Ru (0.6272, 0.7466, 0.8799)

Main lines, most intense first (2θ from 10° to 80°):
2θ = 40.99°, d = 2.202 Å, I 100.0
2θ = 40.85°, d = 2.209 Å, I 65.8
2θ = 41.07°, d = 2.198 Å, I 33.5
2θ = 28.64°, d = 3.116 Å, I 30.2
2θ = 23.71°, d = 3.753 Å, I 28.8
2θ = 74.78°, d = 1.269 Å, I 22.2